Entry 1:
Diffraction record for Mn8Ag. The X-ray diffraction stick pattern is theoretical, not measured: it uses a cell relaxed with GGA-PBE and Cu Kα (λ = 1.5418 Å).

Largest 8 diffraction maxima, by intensity, 10° ≤ 2θ ≤ 90°:
two_theta, I_rel
43.62, 1000
50.74, 294
74.74, 168
50.93, 161
74.60, 76
33.20, 64
27.48, 62
36.33, 55

Structural model:
Cell lengths 5.688, 5.688, 5.688 Å; angles 95.70, 95.70, 143.25 degrees
Atoms (fractional coordinates):
Mn 0.000 0.345 0.345
Mn 0.000 0.655 0.655
Mn 0.316 0.316 0.632
Mn 0.316 0.684 0.000
Mn 0.345 0.000 0.345
Mn 0.655 0.000 0.655
Mn 0.684 0.316 0.000
Mn 0.684 0.684 0.368
Ag 0.000 0.000 0.000

Entry 2:
Diffraction record for Mn2AgMo. The X-ray diffraction stick pattern is theoretical, not measured: it uses a cell relaxed with GGA-PBE and Cu Kα (λ = 1.5418 Å).

Largest 8 diffraction maxima, by intensity, 10° ≤ 2θ ≤ 90°:
two_theta, I_rel
40.41, 1000
68.01, 170
47.79, 163
48.08, 160
35.25, 159
45.12, 139
84.40, 126
33.44, 118

Structural model:
Cell lengths 2.684, 2.684, 8.038 Å; angles 90.00, 90.00, 90.34 degrees
Atoms (fractional coordinates):
Mn 0.000 0.000 0.000
Mn 0.500 0.500 0.197
Ag 0.500 0.500 0.729
Mo 0.000 0.000 0.441

Entry 3:
Diffraction record for NaMnAgSe2. The X-ray diffraction stick pattern is theoretical, not measured: it uses a cell relaxed with GGA-PBE and Cu Kα (λ = 1.5418 Å).

Largest 8 diffraction maxima, by intensity, 10° ≤ 2θ ≤ 90°:
two_theta, I_rel
13.19, 1000
36.03, 889
26.26, 513
31.41, 404
38.20, 395
23.71, 389
43.11, 348
26.52, 308

Structural model:
Cell lengths 6.824, 5.376, 6.833 Å; angles 90.00, 100.28, 90.00 degrees
Atoms (fractional coordinates):
Na 0.000 0.151 0.250
Na 0.000 0.849 0.750
Mn 0.500 0.499 0.750
Mn 0.500 0.501 0.250
Ag 0.500 0.000 0.000
Ag 0.500 0.000 0.500
Se 0.240 0.328 0.955
Se 0.240 0.672 0.455
Se 0.760 0.328 0.545
Se 0.760 0.672 0.045